Record 1
Simulated powder XRD pattern of LaPrSc2 for CuKα, from DFT lattice parameters and positions (GGA-PBE).

Cell and atoms:
Lattice parameters (Å, degrees): 3.6964 3.6964 8.8353 90.00 90.00 90.00
Space group P4/mmm (No. 123)
Inequivalent atoms, fractional coordinates:
La 0.0000 0.0000 0.0000
Pr 0.0000 0.0000 0.5000
Sc 0.5000 0.5000 0.2511

The 10 most intense peaks (15 to 90 degrees two-theta), in order of falling intensity:
h k l, d/Å, intensity
1 0 2, 2.835, 100
1 1 0, 2.614, 40
2 1 2, 1.548, 31
1 0 0, 3.696, 25
1 1 4, 1.687, 21
0 0 2, 4.418, 19
2 0 0, 1.848, 14
1 1 2, 2.250, 14
0 0 4, 2.209, 12
2 0 4, 1.417, 11

***

Record 2
Simulated powder XRD pattern of LiAl4Ni7 for CuKα, from DFT lattice parameters and positions (GGA-PBE).

Cell and atoms:
Lattice parameters (Å, degrees): 9.1921 4.2258 8.8556 90.00 117.70 90.00
Space group C2/m (No. 12)
Inequivalent atoms, fractional coordinates:
Li 0.0000 0.0000 0.0000
Al 0.0968 0.5000 0.7766
Al 0.2377 0.5000 0.3159
Ni 0.0000 0.5000 0.0000
Ni 0.0532 0.0000 0.3563
Ni 0.1427 0.5000 0.5255
Ni 0.2116 0.0000 0.9187

The 10 most intense peaks (15 to 90 degrees two-theta), in order of falling intensity:
h k l, d/Å, intensity
3 1 1, 1.993, 100
1 1 -4, 1.914, 78
1 1 -2, 3.057, 68
0 2 0, 2.113, 67
4 0 -3, 2.166, 55
4 2 -3, 1.513, 33
4 0 -1, 2.239, 25
0 0 2, 3.920, 23
1 3 -4, 1.178, 22
2 0 -2, 3.858, 20

***

Record 3
Simulated powder XRD pattern of Nd3Sm12Tl for CuKα, from DFT lattice parameters and positions (GGA-PBE).

Cell and atoms:
Lattice parameters (Å, degrees): 5.0743 5.0743 20.6361 90.00 90.00 90.00
Space group P4/mmm (No. 123)
Inequivalent atoms, fractional coordinates:
Nd 0.0000 0.0000 0.0000
Nd 0.0000 0.0000 0.2525
Sm 0.0000 0.5000 0.1268
Sm 0.0000 0.5000 0.3799
Sm 0.5000 0.5000 0.0000
Sm 0.5000 0.5000 0.2558
Sm 0.5000 0.5000 0.5000
Tl 0.0000 0.0000 0.5000

The 10 most intense peaks (15 to 90 degrees two-theta), in order of falling intensity:
h k l, d/Å, intensity
1 1 4, 2.946, 100
2 0 0, 2.537, 33
3 1 4, 1.532, 28
2 0 8, 1.809, 24
0 0 8, 2.580, 17
1 1 12, 1.551, 14
2 2 8, 1.473, 12
2 2 0, 1.794, 12
3 1 12, 1.173, 11
3 3 4, 1.165, 6